Cd6PdPt10: calculated XRD peak list (Cu Kα), based on a DFT-relaxed cell (PBE, Alexandria).
Kinematic intensities with the Lorentz-polarization factor, no thermal factor.

Largest 10 diffraction maxima, low angle first, 10° ≤ 2θ ≤ 90°:
d/Å  Position (°2θ)  Rel. int.
7.020  12.61  6.2
2.337  38.51  100.0
2.026  44.74  32.1
2.022  44.82  16.5
1.435  65.01  5.3
1.431  65.20  24.7
1.222  78.20  11.5
1.220  78.37  11.5
1.220  78.40  11.7
1.170  82.43  5.0

Cell and atoms:
abc: 7.574 7.574 5.719
angles: 100.88 100.88 106.44
Fractional coordinates of all 17 atoms:
Cd1 0.004 0.693 0.698
Cd2 0.307 0.996 0.302
Cd3 0.339 0.339 0.662
Cd4 0.661 0.661 0.338
Cd5 0.693 0.004 0.698
Cd6 0.996 0.307 0.302
Pd1 0.000 0.000 0.500
Pt1 0.006 0.343 0.824
Pt2 0.328 0.672 0.500
Pt3 0.330 0.670 0.000
Pt4 0.334 0.334 0.152
Pt5 0.343 0.006 0.824
Pt6 0.657 0.994 0.176
Pt7 0.666 0.666 0.848
Pt8 0.670 0.330 0.000
Pt9 0.672 0.328 0.500
Pt10 0.994 0.657 0.176



CdPd5Pt5: calculated XRD peak list (Cu Kα), based on a DFT-relaxed cell (PBE, Alexandria).
Kinematic intensities with the Lorentz-polarization factor, no thermal factor.

Largest 10 diffraction maxima, low angle first, 10° ≤ 2θ ≤ 90°:
d/Å  Position (°2θ)  Rel. int.
6.756  13.10  32.5
3.307  26.96  33.4
2.324  38.75  32.3
2.279  39.55  82.4
2.252  40.04  47.9
2.227  40.50  100.0
2.217  40.70  52.6
2.180  41.43  43.9
2.123  42.58  61.3
2.073  43.67  37.6

Cell and atoms:
abc: 4.885 5.590 7.101
angles: 105.22 97.17 97.58
Fractional coordinates of all 11 atoms:
Cd1 0.000 0.000 0.000
Pd1 0.000 0.500 0.000
Pd2 0.172 0.717 0.683
Pd3 0.494 0.222 0.944
Pd4 0.506 0.778 0.056
Pd5 0.828 0.283 0.317
Pt1 0.074 0.210 0.650
Pt2 0.371 0.505 0.319
Pt3 0.500 0.000 0.500
Pt4 0.629 0.495 0.681
Pt5 0.926 0.790 0.350



Q: Number 2 is which compound?
A: CdPd5Pt5